This entry pairs a crystal structure of KLiGdF5 with its calculated powder XRD pattern. Radiation: a wavelength of 1.5418 Å. Structure: DFT lattice parameters and positions (GGA-PBE).
Peak positions follow from Bragg's law for the DFT cell and can differ from measured ones.

Structural model:
a = 6.6315 Å, b = 12.0082 Å, c = 6.4512 Å
α = 90.00°, β = 113.72°, γ = 90.00°
Space group P2_1/c (No. 14)
Symmetry-distinct sites (fractional):
K (0.0529, 0.1500, 0.0362)
Li (0.4426, 0.7461, 0.5384)
Gd (0.3179, 0.5023, 0.1796)
F (0.0437, 0.5065, 0.8254)
F (0.2820, 0.6970, 0.2240)
F (0.2883, 0.1758, 0.7816)
F (0.3337, 0.5323, 0.5471)
F (0.4638, 0.1055, 0.4654)

Peak list (6 most intense, 2θ = 5–70°, in order of rising 2θ)
h k l  Position (°2θ)  I (rel.)
0 2 0  14.8  1000
1 1 -1  17.8  391
1 1 1  26.0  716
1 3 -1  27.6  278
2 1 -1  28.1  416
0 1 3  46.8  302

This entry pairs a crystal structure of Na2Gd2MgSi4O12F2 with its calculated powder XRD pattern. Radiation: a wavelength of 1.5418 Å. Structure: DFT lattice parameters and positions (GGA-PBE).
Peak positions follow from Bragg's law for the DFT cell and can differ from measured ones.

Structural model:
a = 5.2269 Å, b = 7.5955 Å, c = 14.4993 Å
α = 90.00°, β = 90.16°, γ = 90.00°
Space group P2_1/c (No. 14)
Symmetry-distinct sites (fractional):
Na (0.0027, 0.0423, 0.2105)
Gd (0.0156, 0.2283, 0.4575)
Mg (0.5000, 0.0000, 0.0000)
Si (0.4627, 0.6286, 0.8852)
Si (0.4767, 0.7403, 0.1855)
O (0.2119, 0.5576, 0.9413)
O (0.2142, 0.2429, 0.3147)
O (0.3331, 0.6271, 0.6141)
O (0.3560, 0.7282, 0.7899)
O (0.3607, 0.2395, 0.0537)
O (0.3615, 0.5412, 0.1535)
F (0.1632, 0.5388, 0.4387)

Peak list (6 most intense, 2θ = 5–70°, in order of rising 2θ)
h k l  Position (°2θ)  I (rel.)
0 0 2  12.2  1000
1 0 0  16.9  650
1 0 2  21.0  706
1 1 -2  24.0  395
1 2 2  31.6  840
1 1 -4  32.3  833